1.
This entry pairs a crystal structure of PmHo2OsC2 with its computed XRD peak list. Radiation: a wavelength of 1.5418 Å. Structure: a cell relaxed with GGA-PBE.

Largest 10 diffraction maxima, by angle, 2θ from 10° to 80°:
| (hkl) | Position (°2θ) | I (rel.) |
| --- | --- | --- |
| 1 1 0 | 17.67 | 10 |
| 2 0 0 | 31.75 | 28 |
| 0 4 0 | 32.46 | 14 |
| 1 2 1 | 32.90 | 100 |
| 0 3 1 | 34.08 | 9 |
| 2 4 0 | 46.04 | 12 |
| 2 3 1 | 47.26 | 8 |
| 0 0 2 | 48.36 | 11 |
| 3 2 1 | 57.30 | 20 |
| 2 0 2 | 59.01 | 10 |

Cell and atoms:
```
12
Lattice="5.637 0.000 0.000 0.000 11.032 0.000 0.000 0.000 3.764" Properties=species:S:1:pos:R:3 pbc="T T T"
Pm 0.000 0.000 0.000
Pm 2.819 5.516 1.882
Ho 0.183 3.263 1.882
Ho 2.636 8.779 0.000
Ho 3.001 2.253 0.000
Ho 5.455 7.769 1.882
Os 0.000 5.516 0.000
Os 2.819 0.000 1.882
C 1.371 9.662 1.882
C 1.447 4.146 0.000
C 4.190 6.887 0.000
C 4.266 1.371 1.882
```

---

2.
This entry pairs a crystal structure of ErB2C2 with its computed XRD peak list. Radiation: a wavelength of 1.5418 Å. Structure: a cell relaxed with GGA-PBE.

Largest 10 diffraction maxima, by angle, 2θ from 10° to 80°:
| (hkl) | Position (°2θ) | I (rel.) |
| --- | --- | --- |
| 1 0 0 | 23.49 | 95 |
| 0 0 2 | 25.10 | 27 |
| 1 1 0 | 33.46 | 41 |
| 1 0 2 | 34.64 | 100 |
| 1 1 2 | 42.28 | 56 |
| 2 1 0 | 54.15 | 29 |
| 2 0 2 | 54.96 | 22 |
| 1 0 4 | 57.35 | 18 |
| 2 1 2 | 60.58 | 28 |
| 2 1 4 | 77.99 | 20 |

Cell and atoms:
```
10
Lattice="3.787 0.000 0.000 0.000 3.787 0.000 0.000 0.000 7.096" Properties=species:S:1:pos:R:3 pbc="T T T"
Er 0.000 0.000 1.774
Er 0.000 0.000 5.322
B 0.815 1.894 0.000
B 1.894 0.815 3.548
B 1.894 2.973 3.548
B 2.973 1.894 0.000
C 0.711 1.894 3.548
C 1.894 0.711 0.000
C 1.894 3.076 0.000
C 3.076 1.894 3.548
```